Entry 1:
Zn3Si4Bi2O14: theoretical X-ray diffraction stick pattern (Cu Ka), based on a structure optimized by DFT (PBE).
Lines closer than 0.1° are merged.

```
Zn3Si4Bi2O14
1.0
8.4968 -4.2409 0.0000
8.4968 4.2409 0.0000
-5.9442 0.0000 8.7195
Zn Si Bi O
6 8 4 28
Cartesian
4.0387 3.2685 6.5396
1.9973 0.9454 4.9588
4.9694 -0.9454 0.5991
6.0801 0.9454 8.1204
9.0522 -0.9454 3.7607
7.0108 -3.2685 2.1799
1.3801 0.9904 0.9754
3.4563 2.4815 2.4986
-1.5920 -0.9904 5.3352
10.5652 2.4815 1.8611
0.4843 -2.4815 6.8584
12.6415 0.9905 3.3843
7.5931 -2.4815 6.2209
9.6694 -0.9904 7.7440
7.0108 1.9677 2.1799
8.4968 0.0000 0.0000
5.5247 0.0000 4.3597
4.0387 -1.9677 6.5396
-4.5847 0.4633 8.1396
0.1974 1.7112 4.9910
-0.1898 2.3186 7.5834
-1.6126 -0.4633 3.7798
-1.4673 0.2246 6.4709
2.4481 2.2824 7.2593
1.5048 -0.2246 2.1112
4.7370 1.5299 2.8321
5.6293 2.2824 5.8199
6.3890 0.2316 0.8287
3.1694 -1.7112 0.6313
9.2845 1.5299 1.5277
8.2672 2.3186 5.4958
3.4170 -0.2316 5.1884
7.6325 0.2316 3.5311
2.7822 -2.3186 3.2237
1.7649 -1.5299 7.1918
7.8800 1.7112 8.0882
4.6604 -0.2316 7.8908
5.4202 -2.2824 2.8996
6.3124 -1.5299 5.8874
9.5447 0.2246 6.6083
8.6014 -2.2824 1.4602
12.5168 -0.2246 2.2486
12.6620 0.4633 4.9396
11.2393 -2.3186 1.1361
10.8521 -1.7112 3.7285
15.6341 -0.4633 0.5799
```

Most intense lines, 2θ = 10–90°, by angle:
Position (°2θ)  I_rel
12.19  52
12.61  100
18.03  38
18.85  39
26.74  53
28.41  49
29.29  45
29.38  59
30.41  38
36.53  43

=====

Entry 2:
Mg6SiSn2: theoretical X-ray diffraction stick pattern (Cu Ka), based on a structure optimized by DFT (PBE).
Lines closer than 0.1° are merged.

```
Mg6SiSn2
1.0
-2.3614 3.3344 7.0569
2.3614 -3.3344 7.0569
2.3614 3.3344 -7.0569
Mg Si Sn
6 1 2
Cartesian
2.3614 1.6172 -2.2663
0.0000 1.5734 0.0000
2.3614 1.6172 2.2663
0.0000 1.7173 4.7906
0.0000 5.0954 0.0000
0.0000 1.7173 9.3232
2.3614 0.0000 0.0000
2.3614 0.0000 4.7144
0.0000 3.3344 2.3424
```

Most intense lines, 2θ = 10–90°, by angle:
Position (°2θ)  I_rel
14.69  13
23.11  100
38.16  84
38.26  16
45.07  34
45.16  17
55.10  17
60.47  11
68.92  18
69.09  17

=====

Entry 3:
LiTm3: theoretical X-ray diffraction stick pattern (Cu Ka), based on a structure optimized by DFT (PBE).
Lines closer than 0.1° are merged.

```
LiTm3
1.0
6.9017 0.0000 0.0000
-3.4509 5.9771 0.0000
0.0000 0.0000 5.4558
Li Tm
2 6
Cartesian
0.0000 3.9847 1.3639
3.4509 1.9924 4.0918
0.0000 2.0099 4.0918
-1.7102 4.9721 4.0918
1.7407 1.0050 1.3639
1.7102 4.9721 4.0918
5.1611 1.0050 1.3639
3.4509 3.9671 1.3639
```

Most intense lines, 2θ = 10–90°, by angle:
Position (°2θ)  I_rel
22.06  32
29.90  24
32.83  25
34.21  100
44.99  16
53.08  19
59.50  21
63.83  22
64.68  16
88.37  14

=====

Entry 4:
ThP2: theoretical X-ray diffraction stick pattern (Cu Ka), based on a structure optimized by DFT (PBE).
Lines closer than 0.1° are merged.

```
ThP2
1.0
7.2075 0.0000 0.0000
0.0000 3.8628 0.0000
0.0000 0.0000 9.4325
Th P
4 8
Cartesian
1.4511 0.9657 1.4480
2.1527 2.8971 6.1642
5.0548 0.9657 3.2683
5.7565 2.8971 7.9845
0.6113 0.9657 4.3533
0.7537 0.9657 7.9369
2.8500 2.8971 3.2207
2.9925 2.8971 9.0696
4.2150 0.9657 0.3629
4.3575 0.9657 6.2118
6.4538 2.8971 1.4956
6.5963 2.8971 5.0791
```

Most intense lines, 2θ = 10–90°, by angle:
Position (°2θ)  I_rel
22.53  100
24.70  34
24.91  71
27.86  54
34.02  41
35.37  51
38.99  93
48.63  22
52.77  22
60.33  22

=====

Entry 5:
PrVSb3: theoretical X-ray diffraction stick pattern (Cu Ka), based on a structure optimized by DFT (PBE).
Lines closer than 0.1° are merged.

```
PrVSb3
1.0
7.6900 0.0000 0.0000
0.0000 8.9920 0.0000
0.0000 0.0000 9.4020
Pr V Sb
4 4 12
Cartesian
1.4858 2.2177 2.3505
1.4858 2.2783 7.0515
6.2042 6.7137 2.3505
6.2042 6.7743 7.0515
1.3869 6.7440 0.0000
1.3869 6.7440 4.7010
6.3031 2.2480 0.0000
6.3031 2.2480 4.7010
1.3824 5.4171 2.3505
1.3824 8.0709 7.0515
3.4184 4.8917 7.0515
3.4184 8.5963 2.3505
3.6285 2.2480 0.0000
3.6285 2.2480 4.7010
4.0615 6.7440 0.0000
4.0615 6.7440 4.7010
4.2716 0.3957 7.0515
4.2716 4.1003 2.3505
6.3076 0.9211 2.3505
6.3076 3.5749 7.0515
```

Most intense lines, 2θ = 10–90°, by angle:
Position (°2θ)  I_rel
11.51  54
18.88  65
19.75  42
26.94  54
29.85  100
32.06  71
35.01  64
36.19  69
37.46  86
38.31  96

=====

Entry 6:
PrB4Ir4: theoretical X-ray diffraction stick pattern (Cu Ka), based on a structure optimized by DFT (PBE).
Lines closer than 0.1° are merged.

```
PrB4Ir4
1.0
7.7220 0.0000 0.0000
0.0000 7.7220 0.0000
0.0000 0.0000 3.9882
Pr B Ir
2 8 8
Cartesian
1.9305 1.9305 0.9970
5.7915 5.7915 2.9911
0.2278 4.5674 0.5669
0.7064 7.4942 2.5610
3.1546 4.0888 2.5610
3.6332 7.0156 0.5669
4.0888 0.7064 3.4213
4.5674 3.6332 1.4272
7.0156 0.2278 1.4272
7.4942 3.1546 3.4213
0.7030 6.6350 0.5653
1.0870 4.5640 2.5594
2.7740 7.0190 2.5594
3.1580 4.9480 0.5653
4.5640 2.7740 3.4229
4.9480 0.7030 1.4288
6.6350 3.1580 1.4288
7.0190 1.0870 3.4229
```

Most intense lines, 2θ = 10–90°, by angle:
Position (°2θ)  I_rel
16.23  21
27.70  21
34.35  100
36.81  61
40.02  25
47.07  32
53.03  16
58.56  15
64.73  19
68.77  18

=====

Entry 7:
Ba2SrI6: theoretical X-ray diffraction stick pattern (Cu Ka), based on a structure optimized by DFT (PBE).
Lines closer than 0.1° are merged.

```
Ba2SrI6
1.0
8.5851 0.0000 0.0000
0.0000 8.3146 0.0000
-1.5320 0.0000 25.1976
Ba Sr I
8 4 24
Cartesian
1.3062 0.1761 2.3110
0.5402 3.9812 14.9097
1.1442 0.4300 19.1592
1.9102 3.7273 6.5604
5.1429 4.5873 18.6371
5.9089 7.8846 6.0384
6.5129 4.3334 10.2878
5.7469 8.1385 22.8866
1.5430 4.4445 22.9374
2.3090 8.0273 10.3386
4.7441 0.2872 14.8590
5.5101 3.8701 2.2602
-0.9170 6.2053 20.5415
-0.1510 6.2666 7.9427
0.2084 1.9795 9.0141
-0.5576 2.1778 21.6129
0.4592 5.9163 12.0701
-0.3068 6.5555 24.6688
2.3413 1.6555 12.9862
3.1073 2.5018 0.3874
3.3897 5.9326 4.0482
2.6237 6.5392 16.6470
3.7801 1.7600 4.3366
3.0141 2.3973 16.9354
4.0390 5.9173 8.2622
3.2730 6.5546 20.8609
4.4295 1.7753 8.5506
3.6634 2.3819 21.1493
3.9458 5.8128 24.8102
4.7119 6.6591 12.2114
7.3599 1.7591 0.5287
6.5939 2.3982 13.1275
7.6107 6.1368 3.5847
6.8447 6.3351 16.1834
7.2041 2.0480 17.2548
7.9701 2.1093 4.6560
```

Most intense lines, 2θ = 10–90°, by angle:
Position (°2θ)  I_rel
17.87  54
18.60  27
23.74  35
25.84  34
28.02  54
29.96  40
30.25  100
30.50  74
30.70  25
34.30  43

=====

Entry 8:
Co2As: theoretical X-ray diffraction stick pattern (Cu Ka), based on a structure optimized by DFT (PBE).
Lines closer than 0.1° are merged.

```
Co2As
1.0
5.9871 0.0000 0.0000
-2.9935 5.1850 0.0000
0.0000 0.0000 3.5392
Co As
6 3
Cartesian
-0.7658 1.3264 0.0000
-1.7892 3.0991 1.7696
1.5316 0.0000 0.0000
1.2043 2.0859 1.7696
3.5785 0.0000 1.7696
2.2278 3.8586 0.0000
0.0000 0.0000 1.7696
0.0000 3.4567 0.0000
2.9936 1.7283 0.0000
```

Most intense lines, 2θ = 10–90°, by angle:
Position (°2θ)  I_rel
29.85  10
39.42  96
43.26  100
46.33  36
51.65  34
52.98  43
53.44  42
71.88  17
77.14  27
86.27  29